For ZrTc2, a crystal structure in the Materials Project, relaxed with PBE gives the simulated PXRD pattern in this record (CuKα).

Structure:
Lattice parameters (Å, degrees): 5.2216 5.2216 8.7892 90.00 90.00 120.00
Fractional positions:
Zr: 0.3333 0.6667 0.0626
Zr: 0.3333 0.6667 0.4374
Zr: 0.6667 0.3333 0.5626
Zr: 0.6667 0.3333 0.9374
Tc: 0.0000 0.0000 0.0000
Tc: 0.0000 0.0000 0.5000
Tc: 0.1714 0.3428 0.7500
Tc: 0.1714 0.8286 0.7500
Tc: 0.3428 0.1714 0.2500
Tc: 0.6572 0.8286 0.7500
Tc: 0.8286 0.1714 0.2500
Tc: 0.8286 0.6572 0.2500

Principal peaks in the range 15 to 90 degrees two-theta, by intensity:
2θ = 40.18°, I 100, hkl 1 1 2; 2θ = 41.23°, I 88, hkl 2 0 1; 2θ = 36.54°, I 70, hkl 1 0 3; 2θ = 67.49°, I 31, hkl 2 0 5; 2θ = 72.39°, I 26, hkl 2 2 0; 2θ = 86.81°, I 25, hkl 2 2 4; 2θ = 34.35°, I 25, hkl 1 1 0; 2θ = 62.96°, I 23, hkl 2 1 3